Diffraction record for Ce3Be6Pt20. The powder diffractogram is theoretical, not measured: it uses a DFT-relaxed cell (PBE, Alexandria) and λ = 1.5418 Å (Cu Kα).
Lines closer than 0.1° are merged.

Main lines, low angle first (15 to 90 degrees two-theta):
33.14°, 2.703 Å, I = 23.6; 36.41°, 2.468 Å, I = 22.9; 38.70°, 2.327 Å, I = 100.0; 42.29°, 2.137 Å, I = 16.1; 44.33°, 2.044 Å, I = 31.8; 44.99°, 2.015 Å, I = 13.4; 65.51°, 1.425 Å, I = 24.9; 67.04°, 1.396 Å, I = 14.8; 77.33°, 1.234 Å, I = 15.4; 78.76°, 1.215 Å, I = 10.7

Structure:
```
Ce3Be6Pt20
1.0
0.0000 6.0450 6.0450
6.0450 0.0000 6.0450
6.0450 6.0450 0.0000
Ce Be Pt
3 6 20
direct
0.0000 0.0000 0.0000 Ce
0.2500 0.2500 0.2500 Ce
0.7500 0.7500 0.7500 Ce
0.2723 0.2723 0.7277 Be
0.2723 0.7277 0.2723 Be
0.2723 0.7277 0.7277 Be
0.7277 0.2723 0.2723 Be
0.7277 0.2723 0.7277 Be
0.7277 0.7277 0.2723 Be
0.0000 0.0000 0.3399 Pt
0.0000 0.0000 0.6601 Pt
0.0000 0.3399 0.0000 Pt
0.0000 0.3399 0.6601 Pt
0.0000 0.6601 0.0000 Pt
0.0000 0.6601 0.3399 Pt
0.1515 0.6162 0.6162 Pt
0.3399 0.0000 0.0000 Pt
0.3399 0.0000 0.6601 Pt
0.3399 0.6601 0.0000 Pt
0.3838 0.3838 0.3838 Pt
0.3838 0.3838 0.8485 Pt
0.3838 0.8485 0.3838 Pt
0.6162 0.1515 0.6162 Pt
0.6162 0.6162 0.1515 Pt
0.6162 0.6162 0.6162 Pt
0.6601 0.0000 0.0000 Pt
0.6601 0.0000 0.3399 Pt
0.6601 0.3399 0.0000 Pt
0.8485 0.3838 0.3838 Pt
```

***

Diffraction record for Rb4Ce3BeSe8. The powder diffractogram is theoretical, not measured: it uses a DFT-relaxed cell (PBE, Alexandria) and λ = 1.5418 Å (Cu Kα).
Lines closer than 0.1° are merged.

Main lines, low angle first (15 to 90 degrees two-theta):
22.29°, 3.988 Å, I = 9.0; 27.82°, 3.207 Å, I = 60.5; 28.58°, 3.124 Å, I = 100.0; 36.00°, 2.495 Å, I = 10.2; 38.71°, 2.326 Å, I = 47.5; 41.85°, 2.159 Å, I = 39.5; 42.93°, 2.107 Å, I = 17.1; 51.93°, 1.761 Å, I = 18.3; 67.64°, 1.385 Å, I = 9.6; 74.34°, 1.276 Å, I = 9.4

Structure:
```
Rb4Ce3BeSe8
1.0
7.5411 -4.2133 0.0000
7.5411 4.2133 0.0000
-4.9278 0.0000 7.9659
Rb Ce Be Se
4 3 1 8
direct
0.0000 0.0000 0.0000 Rb
0.0000 0.5000 0.0000 Rb
0.5000 0.0000 0.0000 Rb
0.5000 0.5000 0.0000 Rb
0.0000 0.0000 0.5000 Ce
0.0000 0.5000 0.5000 Ce
0.5000 0.0000 0.5000 Ce
0.5000 0.5000 0.5000 Be
0.2314 0.2314 0.7021 Se
0.2534 0.2534 0.2908 Se
0.2638 0.7002 0.6735 Se
0.2998 0.7362 0.3265 Se
0.7002 0.2638 0.6735 Se
0.7362 0.2998 0.3265 Se
0.7466 0.7466 0.7092 Se
0.7686 0.7686 0.2979 Se
```